(1)
# Tm2Co2H7
Computed powder diffraction line list, Cu Kα, 1.54184 Å. Input: a DFT-relaxed cell (GGA-PBE, Alexandria).
Intensities are scaled so that the largest is 100.

Top 10 peaks for 2θ = 10–80°, low angle first:
d (Å)	2θ/deg	Rel. int.
4.408	20.1	28
3.245	27.5	30
3.053	29.3	43
2.750	32.6	76
2.677	33.5	67
2.613	34.3	100
2.510	35.8	64
2.364	38.1	27
2.173	41.6	51
1.584	58.2	24

Crystal structure
```
Tm2Co2H7
1.0
3.4601 -4.4081 0.0000
3.4601 4.4081 0.0000
-1.1300 0.0000 3.0528
Tm Co H
2 2 7
direct
0.2017 0.7983 0.0000
0.7983 0.2017 0.0000
0.2944 0.2944 0.6870
0.7056 0.7056 0.3130
0.0486 0.3890 0.6736
0.2067 0.2067 0.1409
0.3890 0.0486 0.6736
0.5000 0.5000 0.5000
0.6110 0.9514 0.3264
0.7933 0.7933 0.8591
0.9514 0.6110 0.3264
```

=====

(2)
# Tm4Co2H
Computed powder diffraction line list, Cu Kα, 1.54184 Å. Input: a DFT-relaxed cell (GGA-PBE, Alexandria).
Intensities are scaled so that the largest is 100.

Top 10 peaks for 2θ = 10–80°, low angle first:
d (Å)	2θ/deg	Rel. int.
2.924	30.6	49
2.844	31.5	33
2.741	32.7	25
2.715	33.0	22
2.651	33.8	100
2.413	37.3	17
2.165	41.7	17
2.124	42.6	22
1.849	49.3	20
1.559	59.3	18

Crystal structure
```
Tm4Co2H
1.0
6.7906 -1.8485 0.0000
6.7906 1.8485 0.0000
-1.0124 0.0000 5.4829
Tm Co H
4 2 1
direct
0.0804 0.0804 0.2809
0.3429 0.3429 0.1723
0.6571 0.6571 0.8277
0.9196 0.9196 0.7191
0.2666 0.2666 0.6258
0.7334 0.7334 0.3742
0.5000 0.5000 0.0000
```

=====

(3)
# TmCoH6
Computed powder diffraction line list, Cu Kα, 1.54184 Å. Input: a DFT-relaxed cell (GGA-PBE, Alexandria).
Intensities are scaled so that the largest is 100.

Top 10 peaks for 2θ = 10–80°, low angle first:
d (Å)	2θ/deg	Rel. int.
3.611	24.7	11
3.461	25.7	28
3.028	29.5	100
2.176	41.5	41
2.109	42.9	36
1.731	52.9	20
1.514	61.2	12
1.372	68.4	18
1.338	70.4	16
1.230	77.6	12

Crystal structure
```
TmCoH6
1.0
2.1088 1.2175 3.6111
-2.1088 1.2175 3.6111
0.0000 -2.4350 3.6111
Tm Co H
1 1 6
direct
0.0000 0.0000 0.0000
0.5000 0.5000 0.5000
0.0762 0.5968 0.5968
0.4032 0.4032 0.9238
0.4032 0.9238 0.4032
0.5968 0.0762 0.5968
0.5968 0.5968 0.0762
0.9238 0.4032 0.4032
```

=====

(4)
# U2Co6H
Computed powder diffraction line list, Cu Kα, 1.54184 Å. Input: a DFT-relaxed cell (GGA-PBE, Alexandria).
Intensities are scaled so that the largest is 100.

Top 8 peaks for 2θ = 10–80°, low angle first:
d (Å)	2θ/deg	Rel. int.
3.768	23.6	49
2.665	33.6	43
2.176	41.5	100
1.884	48.3	48
1.685	54.4	23
1.538	60.1	18
1.332	70.7	30
1.256	75.7	12

Crystal structure
```
U2Co6H
1.0
0.0000 3.7684 3.7684
3.7684 0.0000 3.7684
3.7684 3.7684 0.0000
U Co H
2 6 1
direct
0.2500 0.2500 0.2500
0.7500 0.7500 0.7500
0.2488 0.2488 0.7512
0.2488 0.7512 0.2488
0.2488 0.7512 0.7512
0.7512 0.2488 0.2488
0.7512 0.2488 0.7512
0.7512 0.7512 0.2488
0.5000 0.5000 0.5000
```

=====

(5)
# UCoH4
Computed powder diffraction line list, Cu Kα, 1.54184 Å. Input: a DFT-relaxed cell (GGA-PBE, Alexandria).
Intensities are scaled so that the largest is 100.

Top 10 peaks for 2θ = 10–80°, low angle first:
d (Å)	2θ/deg	Rel. int.
4.486	19.8	29
3.273	27.2	27
2.644	33.9	100
2.315	38.9	35
2.243	40.2	16
2.057	44.0	17
1.637	56.2	12
1.611	57.2	23
1.392	67.3	28
1.360	69.1	13

Crystal structure
```
UCoH4
1.0
3.2732 0.0000 0.0000
0.0000 3.2732 0.0000
0.0000 0.0000 4.4863
U Co H
1 1 4
direct
0.0000 0.0000 0.0000
0.5000 0.5000 0.5000
0.0000 0.5000 0.5000
0.5000 0.0000 0.5000
0.5000 0.5000 0.1566
0.5000 0.5000 0.8434
```

=====

(6)
# UCo2H4
Computed powder diffraction line list, Cu Kα, 1.54184 Å. Input: a DFT-relaxed cell (GGA-PBE, Alexandria).
Intensities are scaled so that the largest is 100.

Top 10 peaks for 2θ = 10–80°, low angle first:
d (Å)	2θ/deg	Rel. int.
4.141	21.5	33
3.649	24.4	58
3.631	24.5	49
3.065	29.1	100
3.028	29.5	65
2.908	30.7	92
2.265	39.8	52
2.192	41.2	47
1.955	46.5	25
1.947	46.7	29

Crystal structure
```
UCo2H4
1.0
4.0206 0.0000 0.0000
1.7025 3.7274 0.0000
0.9433 0.8625 4.1414
U Co H
1 2 4
direct
0.0000 0.0000 0.0000
0.2972 0.2834 0.6165
0.7028 0.7166 0.3835
0.2905 0.0674 0.3579
0.4210 0.4707 0.8228
0.5790 0.5293 0.1772
0.7095 0.9326 0.6421
```

=====

(7)
# UZnCoH6
Computed powder diffraction line list, Cu Kα, 1.54184 Å. Input: a DFT-relaxed cell (GGA-PBE, Alexandria).
Intensities are scaled so that the largest is 100.

Top 10 peaks for 2θ = 10–80°, low angle first:
d (Å)	2θ/deg	Rel. int.
3.730	23.9	28
2.822	31.7	100
2.158	41.9	11
2.153	42.0	35
1.867	48.8	15
1.712	53.5	23
1.524	60.8	24
1.410	66.3	8
1.342	70.1	11
1.340	70.2	21

Crystal structure
```
UZnCoH6
1.0
4.3067 0.0000 0.0000
-2.1533 3.7297 0.0000
0.0000 0.0000 4.3168
U Zn Co H
1 1 1 6
direct
0.0000 0.0000 0.0000
0.6667 0.3333 0.5000
0.3333 0.6667 0.5000
0.0304 0.5152 0.2182
0.0304 0.5152 0.7818
0.4848 0.5152 0.2182
0.4848 0.5152 0.7818
0.4848 0.9696 0.2182
0.4848 0.9696 0.7818
```

=====

(8)
# V2CoH4
Computed powder diffraction line list, Cu Kα, 1.54184 Å. Input: a DFT-relaxed cell (GGA-PBE, Alexandria).
Intensities are scaled so that the largest is 100.

Top 10 peaks for 2θ = 10–80°, low angle first:
d (Å)	2θ/deg	Rel. int.
2.629	34.1	59
2.255	40.0	54
2.247	40.1	100
2.241	40.2	32
2.235	40.4	33
2.228	40.5	58
2.220	40.6	58
2.160	41.8	59
1.433	65.1	25
1.314	71.9	26

Crystal structure
```
V2CoH4
1.0
5.1889 0.0000 0.0000
2.5689 4.5693 0.0000
2.5929 1.4911 4.3204
V Co H
4 2 8
direct
0.0000 0.0000 0.0000
0.0000 0.0000 0.5000
0.0000 0.5000 0.0000
0.5000 0.0000 0.0000
0.3680 0.3847 0.3849
0.6320 0.6153 0.6151
0.2437 0.7542 0.7520
0.2442 0.7618 0.2464
0.2468 0.2465 0.7619
0.2498 0.2490 0.2466
0.7502 0.7510 0.7534
0.7532 0.7535 0.2381
0.7558 0.2382 0.7536
0.7563 0.2458 0.2480
```

=====

(9)
# VCo2H
Computed powder diffraction line list, Cu Kα, 1.54184 Å. Input: a DFT-relaxed cell (GGA-PBE, Alexandria).
Intensities are scaled so that the largest is 100.

Top 10 peaks for 2θ = 10–80°, low angle first:
d (Å)	2θ/deg	Rel. int.
3.799	23.4	2
2.835	31.6	3
2.161	41.8	31
2.130	42.4	32
1.997	45.4	100
1.735	52.8	3
1.517	61.1	19
1.327	71.1	5
1.214	78.9	15
1.202	79.7	16

Crystal structure
```
VCo2H
1.0
2.1613 -3.9801 0.0000
2.1613 3.9801 0.0000
0.0000 0.0000 4.2597
V Co H
2 4 2
direct
0.0000 0.5000 0.0000
0.5000 0.0000 0.5000
0.1320 0.3192 0.5000
0.3192 0.1320 0.0000
0.6808 0.8680 0.0000
0.8680 0.6808 0.5000
0.5000 0.5000 0.2500
0.5000 0.5000 0.7500
```

=====

(10)
# VCo4H3
Computed powder diffraction line list, Cu Kα, 1.54184 Å. Input: a DFT-relaxed cell (GGA-PBE, Alexandria).
Intensities are scaled so that the largest is 100.

Top 10 peaks for 2θ = 10–80°, low angle first:
d (Å)	2θ/deg	Rel. int.
3.091	28.9	1
2.247	40.1	69
2.089	43.3	75
1.998	45.4	100
1.979	45.9	97
1.961	46.3	95
1.547	59.8	14
1.530	60.5	14
1.513	61.2	13
1.298	72.9	43

Crystal structure
```
VCo4H3
1.0
4.4075 -2.2472 0.0000
4.4075 2.2472 0.0000
-2.3383 0.0000 6.1518
V Co H
2 8 6
direct
0.1640 0.8360 0.5000
0.8360 0.1640 0.0000
0.0220 0.3636 0.4022
0.2322 0.5727 0.8031
0.3636 0.0220 0.9022
0.4279 0.7580 0.2012
0.5727 0.2322 0.3031
0.6328 0.9606 0.6013
0.7580 0.4279 0.7012
0.9606 0.6328 0.1013
0.1857 0.2180 0.6708
0.2180 0.1857 0.1708
0.3789 0.4203 0.0546
0.4203 0.3789 0.5546
0.7796 0.7940 0.3403
0.7940 0.7796 0.8403
```

=====

(11)
# VCoH3
Computed powder diffraction line list, Cu Kα, 1.54184 Å. Input: a DFT-relaxed cell (GGA-PBE, Alexandria).
Intensities are scaled so that the largest is 100.

Top 10 peaks for 2θ = 10–80°, low angle first:
d (Å)	2θ/deg	Rel. int.
2.649	33.8	18
2.279	39.6	15
2.233	40.4	100
2.075	43.6	25
1.997	45.4	25
1.628	56.5	11
1.377	68.1	11
1.281	74.0	9
1.262	75.3	10
1.226	77.9	13

Crystal structure
```
VCoH3
1.0
3.2554 -4.5571 0.0000
3.2554 4.5571 0.0000
0.0000 0.0000 4.1492
V Co H
4 4 12
direct
0.0879 0.4121 0.2500
0.4121 0.0879 0.7500
0.5879 0.9121 0.2500
0.9121 0.5879 0.7500
0.0933 0.9067 0.2567
0.4067 0.5933 0.7567
0.5933 0.4067 0.2433
0.9067 0.0933 0.7433
0.0766 0.9234 0.8469
0.1336 0.3664 0.7500
0.2371 0.7629 0.5154
0.2629 0.7371 0.0154
0.3664 0.1336 0.2500
0.4234 0.5766 0.3469
0.5766 0.4234 0.6531
0.6336 0.8664 0.7500
0.7371 0.2629 0.9846
0.7629 0.2371 0.4846
0.8664 0.6336 0.2500
0.9234 0.0766 0.1531
```